CoH10Se2O10: computed PXRD pattern (Cu Kα (weighted mean of Kα1 and Kα2)), based on a crystal structure in OQMD, relaxed with PBE+U.
Intensities are scaled so that the largest is 100.

Structure:
abc: 7.341 7.341 10.000
angles: 112.72 112.72 84.93
Fractional positions:
Co 0.084 0.916 0.750
Co 0.916 0.084 0.250
H 0.066 0.405 0.472
H 0.264 0.454 0.947
H 0.283 0.290 0.016
H 0.290 0.283 0.516
H 0.295 0.575 0.159
H 0.366 0.633 0.671
H 0.367 0.634 0.829
H 0.405 0.066 0.972
H 0.425 0.705 0.341
H 0.454 0.264 0.447
H 0.546 0.736 0.553
H 0.575 0.295 0.659
H 0.595 0.934 0.028
H 0.633 0.366 0.171
H 0.634 0.367 0.329
H 0.705 0.425 0.841
H 0.710 0.717 0.484
H 0.717 0.710 0.984
H 0.736 0.546 0.053
H 0.934 0.595 0.528
Se 0.097 0.715 0.384
Se 0.285 0.903 0.116
Se 0.715 0.097 0.884
Se 0.903 0.285 0.616
O 0.062 0.275 0.477
O 0.078 0.176 0.722
O 0.124 0.729 0.961
O 0.176 0.078 0.222
O 0.271 0.876 0.539
O 0.275 0.062 0.977
O 0.294 0.706 0.250
O 0.308 0.692 0.750
O 0.346 0.420 0.037
O 0.420 0.346 0.537
O 0.580 0.654 0.463
O 0.654 0.580 0.963
O 0.692 0.308 0.250
O 0.706 0.294 0.750
O 0.725 0.938 0.023
O 0.729 0.124 0.461
O 0.824 0.922 0.778
O 0.876 0.271 0.039
O 0.922 0.824 0.278
O 0.938 0.725 0.523

Most intense lines, 10° ≤ 2θ ≤ 80°, by angle:
d (Å), I (rel.)
6.754, 100
4.614, 51
4.518, 51
3.341, 63
3.108, 45
2.755, 45